Theoretical PXRD pattern of Ge3Sb4O12 for Cu Kα, from a crystal structure in the Materials Project, relaxed with PBE.
Kinematic intensities with the Lorentz-polarization factor, no thermal factor.

Crystal structure
a = 9.223 Å, b = 9.223 Å, c = 9.223 Å
α = 109.47°, β = 109.47°, γ = 109.47°
Fractional coordinates of all 38 atoms:
Ge 0.125 0.875 0.250
Ge 0.250 0.125 0.875
Ge 0.375 0.625 0.750
Ge 0.625 0.750 0.375
Ge 0.750 0.375 0.625
Ge 0.875 0.250 0.125
Sb 0.000 0.195 0.500
Sb 0.000 0.695 0.500
Sb 0.195 0.500 0.000
Sb 0.305 0.305 0.305
Sb 0.500 0.000 0.195
Sb 0.500 0.000 0.695
Sb 0.695 0.500 0.000
Sb 0.805 0.805 0.805
O 0.059 0.914 0.714
O 0.086 0.300 0.144
O 0.144 0.086 0.300
O 0.155 0.856 0.441
O 0.200 0.286 0.845
O 0.214 0.414 0.559
O 0.286 0.845 0.200
O 0.300 0.144 0.086
O 0.345 0.786 0.700
O 0.356 0.655 0.941
O 0.414 0.559 0.214
O 0.441 0.155 0.856
O 0.559 0.214 0.414
O 0.586 0.644 0.800
O 0.644 0.800 0.586
O 0.655 0.941 0.356
O 0.700 0.345 0.786
O 0.714 0.059 0.914
O 0.786 0.700 0.345
O 0.800 0.586 0.644
O 0.845 0.200 0.286
O 0.856 0.441 0.155
O 0.914 0.714 0.059
O 0.941 0.356 0.655

The 12 most intense peaks (2θ = 10–90°), low angle first:
2theta  I (rel.)
20.43  51
26.47  74
31.43  100
33.66  15
41.54  27
46.72  19
49.93  15
53.00  31
55.96  18
58.81  16
61.58  14
86.75  13